Calculated powder diffraction line list
Compound: Cu3N4Cl4O
Radiation: a wavelength of 1.5418 Å
Structure: a crystal structure in Alexandria, relaxed with GGA-PBE
Neutral-atom scattering factors, no anomalous dispersion.

Most intense lines, 2θ from 10° to 90°, in order of rising 2θ:
2θ 14.1, 6.269 Å, intensity 26
2θ 20.0, 4.433 Å, intensity 100
2θ 27.6, 3.227 Å, intensity 57
2θ 34.4, 2.609 Å, intensity 17
2θ 35.3, 2.540 Å, intensity 39
2θ 40.7, 2.216 Å, intensity 25
2θ 43.5, 2.079 Å, intensity 14
2θ 45.8, 1.982 Å, intensity 19
2θ 46.0, 1.973 Å, intensity 47
2θ 55.0, 1.670 Å, intensity 35

Crystal structure
Cell: 6.857 6.857 6.857 Å, 99.45 99.45 132.20°
Sites, in units of the cell vectors:
1 Cu 0.000 0.000 0.000
2 Cu 0.250 0.750 0.500
3 Cu 0.750 0.250 0.500
4 N 0.151 0.151 0.303
5 N 0.151 0.849 0.000
6 N 0.849 0.151 0.000
7 N 0.849 0.849 0.697
8 Cl 0.202 0.500 0.702
9 Cl 0.500 0.202 0.702
10 Cl 0.500 0.798 0.298
11 Cl 0.798 0.500 0.298
12 O 0.500 0.500 0.000

Calculated powder diffraction line list
Compound: NaCu3Cl9
Radiation: a wavelength of 1.5418 Å
Structure: a crystal structure in Alexandria, relaxed with GGA-PBE
Neutral-atom scattering factors, no anomalous dispersion.

Most intense lines, 2θ from 10° to 90°, in order of rising 2θ:
2θ 13.1, 6.744 Å, intensity 57
2θ 17.9, 4.947 Å, intensity 49
2θ 18.2, 4.875 Å, intensity 100
2θ 19.1, 4.657 Å, intensity 92
2θ 24.8, 3.591 Å, intensity 41
2θ 25.6, 3.483 Å, intensity 36
2θ 27.1, 3.286 Å, intensity 29
2θ 27.9, 3.198 Å, intensity 49
2θ 36.4, 2.471 Å, intensity 35
2θ 47.6, 1.911 Å, intensity 30

Crystal structure
Cell: 9.918 9.918 13.593 Å, 126.65 126.65 44.63°
Sites, in units of the cell vectors:
1 Na 0.066 0.934 0.500
2 Na 0.934 0.066 0.000
3 Cu 0.190 0.414 0.207
4 Cu 0.333 0.646 0.770
5 Cu 0.414 0.190 0.707
6 Cu 0.581 0.857 0.449
7 Cu 0.646 0.333 0.270
8 Cu 0.857 0.581 0.949
9 Cl 0.056 0.254 0.867
10 Cl 0.173 0.507 0.697
11 Cl 0.196 0.206 0.227
12 Cl 0.205 0.673 0.283
13 Cl 0.206 0.196 0.727
14 Cl 0.254 0.056 0.367
15 Cl 0.282 0.593 0.574
16 Cl 0.325 0.768 0.965
17 Cl 0.507 0.173 0.197
18 Cl 0.516 0.753 0.837
19 Cl 0.567 0.859 0.610
20 Cl 0.593 0.282 0.074
21 Cl 0.673 0.205 0.783
22 Cl 0.745 0.897 0.423
23 Cl 0.753 0.516 0.337
24 Cl 0.768 0.325 0.465
25 Cl 0.859 0.567 0.110
26 Cl 0.897 0.745 0.923